[1]
Starting from a DFT-relaxed cell (GGA-PBE, the Materials Project), the powder XRD pattern of NbBr6O2 was calculated for Cu Kα.

Principal peaks in the range 10° ≤ 2θ ≤ 80°, by angle:
hkl 1 1 0, 6.815 Å, 12.99 deg, I = 22; hkl 1 0 1, 6.680 Å, 13.25 deg, I = 20; hkl 1 1 1, 5.571 Å, 15.91 deg, I = 52; hkl 2 0 0, 4.618 Å, 19.22 deg, I = 100; hkl 1 2 2, 3.267 Å, 27.30 deg, I = 54; hkl 1 0 3, 3.044 Å, 29.34 deg, I = 16; hkl 0 4 0, 2.525 Å, 35.56 deg, I = 11; hkl 4 0 0, 2.309 Å, 39.00 deg, I = 36; hkl 2 4 0, 2.215 Å, 40.73 deg, I = 15; hkl 2 0 4, 2.142 Å, 42.18 deg, I = 15; hkl 4 0 4, 1.670 Å, 54.99 deg, I = 13; hkl 2 4 4, 1.633 Å, 56.33 deg, I = 17

Cell and atoms:
```
NbBr6O2
1.0
9.235 0.000 0.000
0.000 10.099 0.000
0.000 0.000 9.674
Nb Br O
2 12 4
direct
0.000 0.120 0.000
0.500 0.880 0.500
0.000 0.116 0.743
0.000 0.121 0.255
0.000 0.364 0.993
0.000 0.436 0.487
0.000 0.590 0.310
0.000 0.873 0.002
0.500 0.127 0.502
0.500 0.410 0.810
0.500 0.564 0.987
0.500 0.636 0.493
0.500 0.879 0.755
0.500 0.884 0.243
0.000 0.708 0.678
0.000 0.800 0.595
0.500 0.200 0.095
0.500 0.292 0.178
```

[2]
Starting from a DFT-relaxed cell (GGA-PBE, the Materials Project), the powder XRD pattern of NdLuO3 was calculated for Cu Kα.

Principal peaks in the range 10° ≤ 2θ ≤ 80°, by angle:
hkl 2 0 0, 2.990 Å, 29.89 deg, I = 23; hkl 1 2 1, 2.935 Å, 30.46 deg, I = 100; hkl 0 0 2, 2.866 Å, 31.21 deg, I = 23; hkl 0 4 0, 2.082 Å, 43.47 deg, I = 12; hkl 2 0 2, 2.069 Å, 43.76 deg, I = 19; hkl 3 2 1, 1.715 Å, 53.41 deg, I = 15; hkl 2 4 0, 1.708 Å, 53.65 deg, I = 11; hkl 0 4 2, 1.684 Å, 54.48 deg, I = 11; hkl 1 2 3, 1.668 Å, 55.07 deg, I = 23; hkl 2 4 2, 1.467 Å, 63.38 deg, I = 12; hkl 1 6 1, 1.316 Å, 71.73 deg, I = 10; hkl 3 2 3, 1.309 Å, 72.15 deg, I = 7

Cell and atoms:
```
NdLuO3
1.0
5.980 0.000 0.000
0.000 8.327 0.000
0.000 0.000 5.732
Nd Lu O
4 4 12
direct
0.055 0.250 0.014
0.445 0.750 0.514
0.555 0.250 0.486
0.945 0.750 0.986
0.000 0.000 0.500
0.000 0.500 0.500
0.500 0.000 0.000
0.500 0.500 0.000
0.054 0.750 0.376
0.191 0.565 0.811
0.191 0.935 0.811
0.309 0.065 0.311
0.309 0.435 0.311
0.446 0.250 0.876
0.554 0.750 0.124
0.691 0.565 0.689
0.691 0.935 0.689
0.809 0.065 0.189
0.809 0.435 0.189
0.946 0.250 0.624
```

[3]
Starting from a DFT-relaxed cell (GGA-PBE, the Materials Project), the powder XRD pattern of Al2Tc2O5 was calculated for Cu Kα.

Principal peaks in the range 10° ≤ 2θ ≤ 80°, by angle:
hkl 0 0 2, 3.698 Å, 24.07 deg, I = 17; hkl 1 0 0, 3.575 Å, 24.91 deg, I = 35; hkl 1 0 2, 2.570 Å, 34.91 deg, I = 100; hkl 1 1 0, 2.528 Å, 35.51 deg, I = 35; hkl 1 1 2, 2.087 Å, 43.36 deg, I = 38; hkl 0 0 4, 1.849 Å, 49.29 deg, I = 10; hkl 2 0 0, 1.787 Å, 51.10 deg, I = 31; hkl 1 0 4, 1.642 Å, 55.99 deg, I = 8; hkl 1 1 4, 1.492 Å, 62.21 deg, I = 26; hkl 2 1 2, 1.467 Å, 63.38 deg, I = 35; hkl 2 0 4, 1.285 Å, 73.72 deg, I = 12; hkl 2 2 0, 1.264 Å, 75.17 deg, I = 9

Cell and atoms:
```
Al2Tc2O5
1.0
3.575 0.000 0.000
0.000 3.575 0.000
0.000 0.000 7.396
Al Tc O
2 2 5
direct
0.000 0.000 0.248
0.000 0.000 0.752
0.500 0.500 0.000
0.500 0.500 0.500
0.000 0.000 0.500
0.000 0.500 0.175
0.000 0.500 0.825
0.500 0.000 0.175
0.500 0.000 0.825
```